This entry pairs a crystal structure of ZrCdSnH2 with its calculated powder diffractogram. Radiation: Cu Kα. Structure: a DFT-relaxed cell (GGA-PBE, Alexandria).
Lines closer than 0.1° are merged.

Main lines, in order of rising 2θ (10° ≤ 2θ ≤ 90°):
- 29.51 deg, I = 847, (1 0 0)
- 31.81 deg, I = 888, (0 1 1)
- 35.37 deg, I = 422, (0 0 3)
- 37.98 deg, I = 1000, (0 1 2)
- 46.71 deg, I = 434, (1 0 3)
- 52.35 deg, I = 443, (1 1 0)
- 64.77 deg, I = 424, (1 1 3)
- 66.48 deg, I = 190, (2 0 2)
- 69.05 deg, I = 246, (0 1 5)
- 89.44 deg, I = 181, (2 1 2)

Cell: 3.4951 3.4951 7.6132 Å, 90.00 90.00 120.00°
Space group P3m1 (No. 156)
Inequivalent atoms, fractional coordinates:
Zr (0.0000, 0.0000, 0.0000)
Cd (0.6667, 0.3333, 0.3222)
Sn (0.6667, 0.3333, 0.6901)
H (0.0000, 0.0000, 0.2668)
H (0.3333, 0.6667, 0.0458)

***

This entry pairs a crystal structure of TaCdH with its calculated powder diffractogram. Radiation: Cu Kα. Structure: a DFT-relaxed cell (GGA-PBE, Alexandria).
Lines closer than 0.1° are merged.

Main lines, in order of rising 2θ (10° ≤ 2θ ≤ 90°):
- 17.28 deg, I = 111, (1 0 0)
- 33.24 deg, I = 252, (0 1 1)
- 33.81 deg, I = 124, (0 0 2)
- 34.98 deg, I = 404, (2 0 0)
- 37.70 deg, I = 1000, (1 1 1)
- 38.16 deg, I = 231, (1 0 -2)
- 38.27 deg, I = 218, (1 0 2)
- 49.02 deg, I = 172, (2 1 -1)
- 60.12 deg, I = 150, (0 1 3)
- 64.59 deg, I = 110, (3 1 1)

Cell: 5.1305 3.1294 5.3024 Å, 90.00 90.19 90.00°
Space group Pm (No. 6)
Inequivalent atoms, fractional coordinates:
Ta (0.0000, 0.0000, 0.0000)
Ta (0.0056, 0.5000, 0.4536)
Cd (0.4996, 0.0000, 0.3110)
Cd (0.5248, 0.5000, 0.8151)
H (0.1025, 0.5000, 0.8142)
H (0.9427, 0.0000, 0.6421)

***

This entry pairs a crystal structure of Tb3CdH with its calculated powder diffractogram. Radiation: Cu Kα. Structure: a DFT-relaxed cell (GGA-PBE, Alexandria).
Lines closer than 0.1° are merged.

Main lines, in order of rising 2θ (10° ≤ 2θ ≤ 90°):
- 18.21 deg, I = 16, (1 0 0)
- 25.86 deg, I = 12, (1 1 0)
- 31.82 deg, I = 1000, (1 1 1)
- 36.90 deg, I = 508, (2 0 0)
- 41.45 deg, I = 8, (2 1 0)
- 53.18 deg, I = 354, (2 2 0)
- 63.31 deg, I = 413, (3 1 1)
- 66.48 deg, I = 119, (2 2 2)
- 78.54 deg, I = 56, (4 0 0)
- 87.22 deg, I = 176, (3 3 1)

Cell: 4.8717 4.8717 4.8717 Å, 90.00 90.00 90.00°
Space group Pm-3m (No. 221)
Inequivalent atoms, fractional coordinates:
Tb (0.0000, 0.0000, 0.5000)
Cd (0.5000, 0.5000, 0.5000)
H (0.0000, 0.0000, 0.0000)